1.
Calculated X-ray powder pattern
Compound: Ni3H3Au
Radiation: Cu Kα (λ = 1.5418 Å)
Structure: a crystal structure in Alexandria, relaxed with PBE
No peak broadening, texture or thermal motion is included.

Structure:
abc: 4.9117 4.9117 4.9117
angles: 90.00 90.00 90.00
Positions (direct):
Ni 0.0000 0.2500 0.5000
Ni 0.0000 0.7500 0.5000
Ni 0.2500 0.5000 0.0000
Ni 0.5000 0.0000 0.2500
Ni 0.5000 0.0000 0.7500
Ni 0.7500 0.5000 0.0000
H 0.0000 0.5000 0.2500
H 0.0000 0.5000 0.7500
H 0.2500 0.0000 0.5000
H 0.5000 0.2500 0.0000
H 0.5000 0.7500 0.0000
H 0.7500 0.0000 0.5000
Au 0.0000 0.0000 0.0000
Au 0.5000 0.5000 0.5000

Peak list (10 most intense, 2θ = 15–90°, in order of falling intensity)
two_theta, Rel. int.
45.2, 100
25.6, 54
71.9, 50
36.6, 45
41.1, 30
89.2, 15
59.5, 12
77.8, 11
52.7, 8
83.5, 8

---

2.
Calculated X-ray powder pattern
Compound: Tb2ThCo
Radiation: Cu Kα (λ = 1.5418 Å)
Structure: a crystal structure in Alexandria, relaxed with PBE
No peak broadening, texture or thermal motion is included.

Structure:
abc: 6.9402 9.6800 6.3177
angles: 90.00 90.00 90.00
Positions (direct):
Tb 0.1698 0.0698 0.1749
Tb 0.1698 0.4302 0.1749
Tb 0.3302 0.5698 0.6749
Tb 0.3302 0.9302 0.6749
Tb 0.6698 0.0698 0.3251
Tb 0.6698 0.4302 0.3251
Tb 0.8302 0.5698 0.8251
Tb 0.8302 0.9302 0.8251
Th 0.0533 0.2500 0.6633
Th 0.4467 0.7500 0.1633
Th 0.5533 0.2500 0.8367
Th 0.9467 0.7500 0.3367
Co 0.1304 0.7500 0.9708
Co 0.3696 0.2500 0.4708
Co 0.6304 0.7500 0.5292
Co 0.8696 0.2500 0.0292

Peak list (10 most intense, 2θ = 15–90°, in order of falling intensity)
two_theta, Rel. int.
31.1, 100
34.8, 42
32.5, 42
30.8, 34
31.7, 27
49.0, 24
33.8, 24
27.3, 18
57.0, 16
53.6, 15

---

3.
Calculated X-ray powder pattern
Compound: DyH7Pd5
Radiation: Cu Kα (λ = 1.5418 Å)
Structure: a crystal structure in Alexandria, relaxed with PBE
No peak broadening, texture or thermal motion is included.

Structure:
abc: 5.3963 5.4312 5.5409
angles: 89.49 62.66 70.59
Positions (direct):
Dy 0.0000 0.0000 0.0000
H 0.0208 0.5952 0.2082
H 0.4545 0.8112 0.3484
H 0.5014 0.2885 0.4764
H 0.5676 0.1635 0.9603
H 0.6268 0.2922 0.9008
H 0.6948 0.7867 0.6560
H 0.9702 0.0589 0.4547
Pd 0.1069 0.7210 0.4712
Pd 0.2486 0.4161 0.8742
Pd 0.2507 0.1758 0.4184
Pd 0.6308 0.6881 0.9678
Pd 0.7035 0.5147 0.4233

Peak list (10 most intense, 2θ = 15–90°, in order of falling intensity)
two_theta, Rel. int.
36.8, 100
37.6, 94
37.1, 86
40.5, 71
39.5, 56
31.3, 53
29.1, 48
42.8, 40
44.7, 38
61.3, 33

---

4.
Calculated X-ray powder pattern
Compound: Tb6Sm16Tm7
Radiation: Cu Kα (λ = 1.5418 Å)
Structure: a crystal structure in Alexandria, relaxed with PBE
No peak broadening, texture or thermal motion is included.

Structure:
abc: 11.1966 11.1966 11.1966
angles: 60.00 60.00 60.00
Positions (direct):
Tb 0.2298 0.2298 0.7702
Tb 0.2298 0.7702 0.2298
Tb 0.2298 0.7702 0.7702
Tb 0.7702 0.2298 0.2298
Tb 0.7702 0.2298 0.7702
Tb 0.7702 0.7702 0.2298
Sm 0.1264 0.6245 0.6245
Sm 0.1500 0.1500 0.1500
Sm 0.1500 0.1500 0.5500
Sm 0.1500 0.5500 0.1500
Sm 0.3755 0.3755 0.3755
Sm 0.3755 0.3755 0.8736
Sm 0.3755 0.8736 0.3755
Sm 0.4500 0.8500 0.8500
Sm 0.5500 0.1500 0.1500
Sm 0.6245 0.1264 0.6245
Sm 0.6245 0.6245 0.1264
Sm 0.6245 0.6245 0.6245
Sm 0.8500 0.4500 0.8500
Sm 0.8500 0.8500 0.4500
Sm 0.8500 0.8500 0.8500
Sm 0.8736 0.3755 0.3755
Tm 0.0000 0.0000 0.5000
Tm 0.0000 0.5000 0.0000
Tm 0.0000 0.5000 0.5000
Tm 0.5000 0.0000 0.0000
Tm 0.5000 0.0000 0.5000
Tm 0.5000 0.5000 0.0000
Tm 0.5000 0.5000 0.5000

Peak list (10 most intense, 2θ = 15–90°, in order of falling intensity)
two_theta, Rel. int.
32.0, 100
57.0, 27
45.8, 14
29.3, 11
76.0, 7
66.8, 7
43.9, 7
60.5, 6
27.6, 6
33.5, 5

---

Copy entry 4 word for word.
Calculated X-ray powder pattern
Compound: Tb6Sm16Tm7
Radiation: Cu Kα (λ = 1.5418 Å)
Structure: a crystal structure in Alexandria, relaxed with PBE
No peak broadening, texture or thermal motion is included.

Structure:
abc: 11.1966 11.1966 11.1966
angles: 60.00 60.00 60.00
Positions (direct):
Tb 0.2298 0.2298 0.7702
Tb 0.2298 0.7702 0.2298
Tb 0.2298 0.7702 0.7702
Tb 0.7702 0.2298 0.2298
Tb 0.7702 0.2298 0.7702
Tb 0.7702 0.7702 0.2298
Sm 0.1264 0.6245 0.6245
Sm 0.1500 0.1500 0.1500
Sm 0.1500 0.1500 0.5500
Sm 0.1500 0.5500 0.1500
Sm 0.3755 0.3755 0.3755
Sm 0.3755 0.3755 0.8736
Sm 0.3755 0.8736 0.3755
Sm 0.4500 0.8500 0.8500
Sm 0.5500 0.1500 0.1500
Sm 0.6245 0.1264 0.6245
Sm 0.6245 0.6245 0.1264
Sm 0.6245 0.6245 0.6245
Sm 0.8500 0.4500 0.8500
Sm 0.8500 0.8500 0.4500
Sm 0.8500 0.8500 0.8500
Sm 0.8736 0.3755 0.3755
Tm 0.0000 0.0000 0.5000
Tm 0.0000 0.5000 0.0000
Tm 0.0000 0.5000 0.5000
Tm 0.5000 0.0000 0.0000
Tm 0.5000 0.0000 0.5000
Tm 0.5000 0.5000 0.0000
Tm 0.5000 0.5000 0.5000

Peak list (10 most intense, 2θ = 15–90°, in order of falling intensity)
two_theta, Rel. int.
32.0, 100
57.0, 27
45.8, 14
29.3, 11
76.0, 7
66.8, 7
43.9, 7
60.5, 6
27.6, 6
33.5, 5

---

Copy entry 4 word for word.
Calculated X-ray powder pattern
Compound: Tb6Sm16Tm7
Radiation: Cu Kα (λ = 1.5418 Å)
Structure: a crystal structure in Alexandria, relaxed with PBE
No peak broadening, texture or thermal motion is included.

Structure:
abc: 11.1966 11.1966 11.1966
angles: 60.00 60.00 60.00
Positions (direct):
Tb 0.2298 0.2298 0.7702
Tb 0.2298 0.7702 0.2298
Tb 0.2298 0.7702 0.7702
Tb 0.7702 0.2298 0.2298
Tb 0.7702 0.2298 0.7702
Tb 0.7702 0.7702 0.2298
Sm 0.1264 0.6245 0.6245
Sm 0.1500 0.1500 0.1500
Sm 0.1500 0.1500 0.5500
Sm 0.1500 0.5500 0.1500
Sm 0.3755 0.3755 0.3755
Sm 0.3755 0.3755 0.8736
Sm 0.3755 0.8736 0.3755
Sm 0.4500 0.8500 0.8500
Sm 0.5500 0.1500 0.1500
Sm 0.6245 0.1264 0.6245
Sm 0.6245 0.6245 0.1264
Sm 0.6245 0.6245 0.6245
Sm 0.8500 0.4500 0.8500
Sm 0.8500 0.8500 0.4500
Sm 0.8500 0.8500 0.8500
Sm 0.8736 0.3755 0.3755
Tm 0.0000 0.0000 0.5000
Tm 0.0000 0.5000 0.0000
Tm 0.0000 0.5000 0.5000
Tm 0.5000 0.0000 0.0000
Tm 0.5000 0.0000 0.5000
Tm 0.5000 0.5000 0.0000
Tm 0.5000 0.5000 0.5000

Peak list (10 most intense, 2θ = 15–90°, in order of falling intensity)
two_theta, Rel. int.
32.0, 100
57.0, 27
45.8, 14
29.3, 11
76.0, 7
66.8, 7
43.9, 7
60.5, 6
27.6, 6
33.5, 5